No. 1
# Pm2Pr2Te3
Theoretical powder XRD pattern, a wavelength of 1.5418 Å. Input: a GGA-PBE-relaxed structure.

Crystal structure
a b c (Å): 8.177 8.177 8.177
angles (deg): 109.47 109.47 109.47
Fractional positions:
Pm1 0.000 0.859 0.500
Pm2 0.500 0.000 0.859
Pm3 0.641 0.641 0.641
Pm4 0.859 0.500 0.000
Pr1 0.000 0.354 0.500
Pr2 0.146 0.146 0.146
Pr3 0.354 0.500 0.000
Pr4 0.500 0.000 0.354
Te1 0.122 0.750 0.872
Te2 0.250 0.628 0.378
Te3 0.378 0.250 0.628
Te4 0.628 0.378 0.250
Te5 0.750 0.872 0.122
Te6 0.872 0.122 0.750

Peak list (12 most intense, 2θ = 15–90°, low angle first)
2θ = 29.9°, I 100
2θ = 35.6°, I 67
2θ = 42.8°, I 11
2θ = 45.0°, I 9
2θ = 47.2°, I 17
2θ = 49.2°, I 22
2θ = 60.4°, I 26
2θ = 62.2°, I 12
2θ = 63.9°, I 14
2θ = 68.9°, I 6
2θ = 73.7°, I 15
2θ = 89.2°, I 11

***

No. 2
# Dy7Er6
Theoretical powder XRD pattern, a wavelength of 1.5418 Å. Input: a GGA-PBE-relaxed structure.

Crystal structure
a b c (Å): 12.155 12.155 12.155
angles (deg): 30.85 30.85 30.85
Fractional positions:
Dy1 0.000 0.000 0.000
Dy2 0.092 0.092 0.584
Dy3 0.092 0.584 0.092
Dy4 0.416 0.908 0.908
Dy5 0.584 0.092 0.092
Dy6 0.908 0.416 0.908
Dy7 0.908 0.908 0.416
Er1 0.167 0.167 0.167
Er2 0.353 0.353 0.353
Er3 0.454 0.454 0.454
Er4 0.546 0.546 0.546
Er5 0.647 0.647 0.647
Er6 0.833 0.833 0.833

Peak list (12 most intense, 2θ = 15–90°, low angle first)
2θ = 27.6°, I 50
2θ = 30.3°, I 46
2θ = 31.7°, I 100
2θ = 32.1°, I 49
2θ = 32.6°, I 69
2θ = 33.6°, I 24
2θ = 34.5°, I 59
2θ = 36.9°, I 23
2θ = 51.4°, I 26
2θ = 52.0°, I 38
2θ = 55.7°, I 25
2θ = 57.0°, I 43

***

No. 3
# FeH4Br3N
Theoretical powder XRD pattern, a wavelength of 1.5418 Å. Input: a GGA-PBE-relaxed structure.

Crystal structure
a b c (Å): 7.705 7.705 6.271
angles (deg): 90.00 90.00 120.00
Fractional positions:
Fe1 0.000 0.000 0.000
Fe2 0.000 0.000 0.500
H1 0.210 0.677 0.228
H2 0.323 0.533 0.228
H3 0.333 0.667 0.012
H4 0.467 0.790 0.228
H5 0.533 0.210 0.728
H6 0.667 0.333 0.512
H7 0.677 0.467 0.728
H8 0.790 0.323 0.728
Br1 0.091 0.309 0.752
Br2 0.218 0.909 0.752
Br3 0.309 0.218 0.252
Br4 0.691 0.782 0.752
Br5 0.782 0.091 0.252
Br6 0.909 0.691 0.252
N1 0.333 0.667 0.176
N2 0.667 0.333 0.676

Peak list (12 most intense, 2θ = 15–90°, low angle first)
2θ = 27.2°, I 66
2θ = 28.5°, I 26
2θ = 30.3°, I 100
2θ = 37.0°, I 38
2θ = 38.5°, I 32
2θ = 39.4°, I 43
2θ = 46.2°, I 22
2θ = 47.2°, I 14
2θ = 49.2°, I 36
2θ = 51.6°, I 19
2θ = 57.9°, I 29
2θ = 80.2°, I 18

***

- Number 3 is which compound?
  FeH4Br3N